No. 1
Simulated X-ray powder pattern of Sm2Si7Ru12 for Cu Kα, 1.54184 Å, from a DFT-relaxed cell (PBE, Alexandria).

Peak list (10 most intense, 10° ≤ 2θ ≤ 90°, in order of rising 2θ)
| (hkl) | 2θ (°) | I_rel |
| --- | --- | --- |
| 2 1 0 | 28.28 | 13.9 |
| 1 1 1 | 29.23 | 9.4 |
| 2 1 1 | 36.44 | 100.0 |
| 1 3 0 | 38.90 | 10.4 |
| 4 0 0 | 43.35 | 11.5 |
| 1 3 1 | 45.40 | 15.6 |
| 0 0 2 | 45.93 | 20.3 |
| 3 2 0 | 47.47 | 9.7 |
| 1 4 0 | 50.07 | 12.2 |
| 2 1 3 | 78.73 | 10.3 |

Crystal structure
Unit cell a=9.6397 b=9.6397 c=3.9513 alpha=90.00 beta=90.00 gamma=120.00
Space group P-6 (No. 174)
Asymmetric unit:
Sm 0.0000 0.0000 0.0000 x1
Sm 0.3333 0.6667 0.5000 x1
Si 0.0628 0.4379 0.0000 x3
Si 0.2624 0.2196 0.5000 x3
Si 0.6667 0.3333 0.5000 x1
Ru 0.0404 0.2765 0.5000 x3
Ru 0.0974 0.7157 0.0000 x3
Ru 0.4583 0.2229 0.0000 x3
Ru 0.5152 0.4571 0.5000 x3

No. 2
Simulated X-ray powder pattern of Sm2Si3Ru for Cu Kα, 1.54184 Å, from a DFT-relaxed cell (PBE, Alexandria).

Peak list (10 most intense, 10° ≤ 2θ ≤ 90°, in order of rising 2θ)
| (hkl) | 2θ (°) | I_rel |
| --- | --- | --- |
| 0 2 2 | 24.84 | 27.8 |
| 0 0 4 | 24.99 | 14.4 |
| 2 2 2 | 33.16 | 100.0 |
| 2 0 4 | 33.27 | 49.8 |
| 0 4 0 | 43.66 | 17.8 |
| 0 2 6 | 43.93 | 35.7 |
| 4 0 0 | 44.04 | 17.2 |
| 2 4 4 | 55.98 | 22.3 |
| 4 2 6 | 63.96 | 22.5 |
| 2 2 10 | 74.05 | 24.1 |

Crystal structure
Unit cell a=8.224 b=8.293 c=14.251 alpha=90.00 beta=90.00 gamma=90.00
Space group Fmmm (No. 69)
Asymmetric unit:
Sm 0.244 0.000 0.000 x8
Sm 0.250 0.250 0.250 x8
Si 0.000 0.000 0.333 x8
Si 0.000 0.249 0.084 x16
Ru 0.000 0.000 0.166 x8

No. 3
Simulated X-ray powder pattern of SrSiRu4 for Cu Kα, 1.54184 Å, from a DFT-relaxed cell (PBE, Alexandria).

Peak list (10 most intense, 10° ≤ 2θ ≤ 90°, in order of rising 2θ)
| (hkl) | 2θ (°) | I_rel |
| --- | --- | --- |
| 1 1 1 | 20.67 | 37.0 |
| 2 2 0 | 34.07 | 12.8 |
| 3 1 1 | 40.18 | 100.0 |
| 2 2 2 | 42.05 | 59.8 |
| 4 0 0 | 48.95 | 14.4 |
| 3 3 1 | 53.67 | 9.0 |
| 5 1 1 | 65.12 | 31.5 |
| 4 4 0 | 71.73 | 28.7 |
| 5 3 3 | 85.55 | 11.0 |
| 6 2 2 | 86.79 | 21.6 |

Crystal structure
Unit cell a=7.444 b=7.444 c=7.444 alpha=90.00 beta=90.00 gamma=90.00
Space group F-43m (No. 216)
Asymmetric unit:
Sr 0.000 0.000 0.000 x4
Si 0.250 0.250 0.250 x4
Ru 0.123 0.123 0.623 x16

No. 4
Simulated X-ray powder pattern of Tb3Si12Ru4 for Cu Kα, 1.54184 Å, from a DFT-relaxed cell (PBE, Alexandria).

Peak list (10 most intense, 10° ≤ 2θ ≤ 90°, in order of rising 2θ)
| (hkl) | 2θ (°) | I_rel |
| --- | --- | --- |
| 4 0 0 | 19.15 | 56.2 |
| 2 2 0 | 23.85 | 54.3 |
| 0 2 2 | 31.04 | 51.0 |
| 1 1 3 | 35.16 | 83.3 |
| 6 2 0 | 36.49 | 100.0 |
| 4 2 2 | 36.73 | 93.4 |
| 0 4 0 | 44.47 | 34.0 |
| 2 0 4 | 45.59 | 34.8 |
| 7 1 3 | 49.34 | 38.5 |
| 6 4 2 | 58.83 | 58.6 |

Crystal structure
Unit cell a=18.543 b=8.147 c=8.152 alpha=90.00 beta=90.00 gamma=90.00
Space group Cmce (No. 64)
Asymmetric unit:
Tb 0.000 0.000 0.000 x4
Tb 0.250 0.247 0.250 x8
Si 0.000 0.167 0.333 x8
Si 0.117 0.005 0.728 x16
Si 0.117 0.228 0.505 x16
Si 0.205 0.000 0.500 x8
Ru 0.000 0.127 0.627 x8
Ru 0.169 0.000 0.000 x8

No. 5
Simulated X-ray powder pattern of TbSi3Ru5 for Cu Kα, 1.54184 Å, from a DFT-relaxed cell (PBE, Alexandria).

Peak list (10 most intense, 10° ≤ 2θ ≤ 90°, in order of rising 2θ)
| (hkl) | 2θ (°) | I_rel |
| --- | --- | --- |
| 0 2 3 | 23.43 | 40.6 |
| 0 4 3 | 33.34 | 23.4 |
| 1 3 0 | 36.17 | 100.0 |
| 1 3 2 | 38.46 | 38.0 |
| 1 1 4 | 40.16 | 41.0 |
| 0 6 0 | 41.09 | 21.7 |
| 0 2 6 | 41.21 | 48.9 |
| 1 5 3 | 50.03 | 26.2 |
| 2 0 0 | 61.55 | 19.1 |
| 2 2 6 | 76.76 | 21.3 |

Crystal structure
Unit cell a=3.013 b=13.179 c=13.935 alpha=90.00 beta=90.00 gamma=90.00
Space group Cmcm (No. 63)
Asymmetric unit:
Tb 0.000 0.155 0.250 x4
Si 0.000 0.139 0.750 x4
Si 0.000 0.368 0.553 x8
Ru 0.000 0.000 0.000 x4
Ru 0.000 0.193 0.581 x8
Ru 0.000 0.470 0.155 x8

No. 6
Simulated X-ray powder pattern of TbSi7Ru3 for Cu Kα, 1.54184 Å, from a DFT-relaxed cell (PBE, Alexandria).

Peak list (10 most intense, 10° ≤ 2θ ≤ 90°, in order of rising 2θ)
| (hkl) | 2θ (°) | I_rel |
| --- | --- | --- |
| 0 1 2 | 16.08 | 34.0 |
| 1 1 3 | 26.92 | 100.0 |
| 1 1 6 | 35.78 | 68.9 |
| 0 1 8 | 38.53 | 25.5 |
| 2 1 4 | 40.36 | 40.7 |
| 3 0 0 | 40.96 | 62.3 |
| 1 1 9 | 47.37 | 44.9 |
| 2 2 3 | 49.67 | 50.1 |
| 3 0 12 | 70.94 | 30.8 |
| 1 4 6 | 71.24 | 24.3 |

Crystal structure
Unit cell a=7.6336 b=7.6336 c=19.9817 alpha=90.00 beta=90.00 gamma=120.00
Space group R-3c (No. 167, hexagonal axes)
Asymmetric unit:
Tb 0.0000 0.0000 0.0000 x6
Si 0.0000 0.0000 0.2500 x6
Si 0.0082 0.2007 0.1384 x36
Ru 0.0000 0.3279 0.2500 x18